Computed PXRD pattern
Compound: V7P6O24
Radiation: Cu Ka
Structure: a structure optimized by DFT (PBE+U)

Crystal structure
Unit cell a=6.457 b=8.195 c=9.404 alpha=105.67 beta=108.45 gamma=101.79
Space group P-1 (No. 2)
One atom of each set of equivalent atoms:
V 0.000 0.000 0.000 x1
V 0.042 0.714 0.519 x2
V 0.286 0.816 0.285 x2
V 0.397 0.461 0.110 x2
P 0.079 0.592 0.832 x2
P 0.217 0.134 0.767 x2
P 0.398 0.240 0.368 x2
O 0.008 0.175 0.660 x2
O 0.053 0.545 0.653 x2
O 0.103 0.785 0.918 x2
O 0.134 0.535 0.166 x2
O 0.202 0.940 0.705 x2
O 0.212 0.181 0.941 x2
O 0.248 0.274 0.464 x2
O 0.266 0.052 0.225 x2
O 0.295 0.543 0.914 x2
O 0.375 0.770 0.512 x2
O 0.443 0.253 0.776 x2
O 0.459 0.381 0.299 x2

Principal peaks in the range 10 to 80 degrees two-theta, sorted by position:
- 18.31 deg, I 16
- 20.28 deg, I 29
- 28.26 deg, I 45
- 29.24 deg, I 28
- 29.50 deg, I 100
- 30.05 deg, I 59
- 30.44 deg, I 17
- 33.76 deg, I 18
- 34.63 deg, I 20
- 56.95 deg, I 21